Entry 1:
This entry pairs a crystal structure of Ca8As5P with its calculated powder diffraction line list. Radiation: a wavelength of 1.5418 Å. Structure: a DFT-relaxed cell (GGA-PBE, Alexandria).

```
Ca8As5P
1.0
-4.4576 4.4576 4.4767
4.4576 -4.4576 4.4767
4.4576 4.4576 -4.4767
Ca As P
8 5 1
Direct
0.0135 0.6308 0.7537
0.2319 0.4801 0.1074
0.3692 0.1229 0.3827
0.3727 0.1245 0.8926
0.5199 0.6273 0.7518
0.7402 0.9865 0.6173
0.8755 0.7681 0.2482
0.8771 0.2598 0.2463
0.1272 0.2524 0.6270
0.2500 0.7500 0.5000
0.4998 0.8728 0.1252
0.6255 0.5002 0.3730
0.7476 0.3745 0.8748
0.0000 0.0000 0.0000
```

Principal peaks in the range 10° ≤ 2θ ≤ 90°, most intense first:
- 2.820 Å, 31.73°, rel. 100
- 2.386 Å, 37.69°, rel. 88
- 2.830 Å, 31.61°, rel. 46
- 3.645 Å, 24.42°, rel. 33
- 1.447 Å, 64.39°, rel. 27
- 1.994 Å, 45.48°, rel. 22
- 1.903 Å, 47.78°, rel. 21
- 1.750 Å, 52.28°, rel. 18

Entry 2:
This entry pairs a crystal structure of Cs4Rb2GeAs2 with its calculated powder diffraction line list. Radiation: a wavelength of 1.5418 Å. Structure: a DFT-relaxed cell (GGA-PBE, Alexandria).

```
Cs4Rb2GeAs2
1.0
12.1190 -5.2237 0.0000
12.1190 5.2237 0.0000
-0.0130 0.0000 5.4034
Cs Rb Ge As
4 2 1 2
Direct
0.1391 0.6613 0.9998
0.3387 0.8609 0.0002
0.6613 0.1391 0.9998
0.8609 0.3387 0.0002
0.2444 0.2444 0.5001
0.7556 0.7556 0.4999
0.0000 0.0000 0.5000
0.0944 0.0944 0.5005
0.9056 0.9056 0.4995
```

Principal peaks in the range 10° ≤ 2θ ≤ 90°, most intense first:
- 3.756 Å, 23.69°, rel. 100
- 4.036 Å, 22.03°, rel. 74
- 2.751 Å, 32.55°, rel. 45
- 3.956 Å, 22.47°, rel. 41
- 2.193 Å, 41.17°, rel. 27
- 1.703 Å, 53.84°, rel. 23
- 2.611 Å, 34.34°, rel. 21
- 2.702 Å, 33.16°, rel. 21

Entry 3:
This entry pairs a crystal structure of Ca3Si8Ir3 with its calculated powder diffraction line list. Radiation: a wavelength of 1.5418 Å. Structure: a DFT-relaxed cell (GGA-PBE, Alexandria).

```
Ca3Si8Ir3
1.0
8.0500 -2.0334 0.0000
8.0500 2.0334 0.0000
-4.2050 0.0000 7.5856
Ca Si Ir
3 8 3
Direct
0.0000 0.0000 0.0000
0.2863 0.2863 0.3252
0.7137 0.7137 0.6748
0.1140 0.1140 0.3969
0.1794 0.1794 0.9063
0.3721 0.3721 0.7390
0.4759 0.4759 0.2989
0.5241 0.5241 0.7011
0.6279 0.6279 0.2610
0.8206 0.8206 0.0937
0.8860 0.8860 0.6031
0.0000 0.0000 0.5000
0.3480 0.3480 0.9900
0.6520 0.6520 0.0100
```

Principal peaks in the range 10° ≤ 2θ ≤ 90°, most intense first:
- 3.074 Å, 29.05°, rel. 100
- 2.876 Å, 31.10°, rel. 77
- 7.180 Å, 12.33°, rel. 73
- 3.793 Å, 23.46°, rel. 66
- 3.681 Å, 24.18°, rel. 57
- 3.298 Å, 27.04°, rel. 52
- 2.033 Å, 44.56°, rel. 51
- 4.024 Å, 22.09°, rel. 47

Entry 4:
This entry pairs a crystal structure of Zr2Ga2Co5Si with its calculated powder diffraction line list. Radiation: a wavelength of 1.5418 Å. Structure: a DFT-relaxed cell (GGA-PBE, Alexandria).

```
Zr2Ga2Co5Si
1.0
9.6904 0.0000 0.0000
0.0000 9.6904 0.0000
0.0000 0.0000 2.9071
Zr Ga Co Si
4 4 10 2
Direct
0.1718 0.3282 0.0000
0.3282 0.8282 0.0000
0.6718 0.1718 0.0000
0.8282 0.6718 0.0000
0.1330 0.6330 0.0000
0.3670 0.1330 0.0000
0.6330 0.8670 0.0000
0.8670 0.3670 0.0000
0.0000 0.5000 0.5000
0.0426 0.8101 0.5000
0.1899 0.0426 0.5000
0.3101 0.5426 0.5000
0.4574 0.3101 0.5000
0.5000 0.0000 0.5000
0.5426 0.6899 0.5000
0.6899 0.4574 0.5000
0.8101 0.9574 0.5000
0.9574 0.1899 0.5000
0.0000 0.0000 0.0000
0.5000 0.5000 0.0000
```

Principal peaks in the range 10° ≤ 2θ ≤ 90°, most intense first:
- 2.109 Å, 42.88°, rel. 100
- 2.284 Å, 39.45°, rel. 63
- 2.350 Å, 38.30°, rel. 43
- 1.861 Å, 48.94°, rel. 30
- 1.973 Å, 45.99°, rel. 26
- 2.493 Å, 36.03°, rel. 21
- 2.217 Å, 40.70°, rel. 17
- 1.615 Å, 57.04°, rel. 16

Entry 5:
This entry pairs a crystal structure of SmHo4Zn4 with its calculated powder diffraction line list. Radiation: a wavelength of 1.5418 Å. Structure: a DFT-relaxed cell (GGA-PBE, Alexandria).

```
SmHo4Zn4
1.0
-4.7412 4.7412 2.5317
4.7412 -4.7412 2.5317
4.7412 4.7412 -2.5317
Sm Ho Zn
1 4 4
Direct
0.0000 0.0000 0.0000
0.1084 0.6512 0.7596
0.3488 0.1084 0.4573
0.6512 0.8916 0.5427
0.8916 0.3488 0.2404
0.3181 0.4220 0.7400
0.4220 0.6819 0.1039
0.5780 0.3181 0.8961
0.6819 0.5780 0.2600
```

Principal peaks in the range 10° ≤ 2θ ≤ 90°, most intense first:
- 3.251 Å, 27.43°, rel. 100
- 2.334 Å, 38.58°, rel. 95
- 2.999 Å, 29.80°, rel. 59
- 2.532 Å, 35.46°, rel. 47
- 2.681 Å, 33.42°, rel. 35
- 1.934 Å, 46.97°, rel. 34
- 1.421 Å, 65.72°, rel. 30
- 1.490 Å, 62.33°, rel. 23

Entry 6:
This entry pairs a crystal structure of SrLa14Ho with its calculated powder diffraction line list. Radiation: a wavelength of 1.5418 Å. Structure: a DFT-relaxed cell (GGA-PBE, Alexandria).

```
SrLa14Ho
1.0
7.4977 0.0000 0.0000
0.0000 7.4977 0.0000
0.0000 0.0000 10.5139
Sr La Ho
1 14 1
Direct
0.0000 0.0000 0.0000
0.0000 0.0000 0.5000
0.0000 0.5000 0.0000
0.0000 0.5000 0.5000
0.2598 0.2598 0.2547
0.2598 0.2598 0.7453
0.2598 0.7402 0.2547
0.2598 0.7402 0.7453
0.5000 0.0000 0.0000
0.5000 0.0000 0.5000
0.5000 0.5000 0.5000
0.7402 0.2598 0.2547
0.7402 0.2598 0.7453
0.7402 0.7402 0.2547
0.7402 0.7402 0.7453
0.5000 0.5000 0.0000
```

Principal peaks in the range 10° ≤ 2θ ≤ 90°, most intense first:
- 3.052 Å, 29.26°, rel. 100
- 2.651 Å, 33.81°, rel. 34
- 1.597 Å, 57.72°, rel. 28
- 1.866 Å, 48.79°, rel. 24
- 2.628 Å, 34.11°, rel. 17
- 1.587 Å, 58.11°, rel. 14
- 1.526 Å, 60.68°, rel. 12
- 1.874 Å, 48.57°, rel. 12

Entry 7:
This entry pairs a crystal structure of TlFeCuCl5 with its calculated powder diffraction line list. Radiation: a wavelength of 1.5418 Å. Structure: a DFT-relaxed cell (GGA-PBE, Alexandria).

```
TlFeCuCl5
1.0
4.6396 -5.9280 0.0000
4.6396 5.9280 0.0000
-2.4349 0.0000 8.0220
Tl Fe Cu Cl
2 2 2 10
Direct
0.1581 0.8419 0.7500
0.8419 0.1581 0.2500
0.1923 0.8077 0.2500
0.8077 0.1923 0.7500
0.5000 0.5000 0.0000
0.5000 0.5000 0.5000
0.0741 0.2423 0.9380
0.1861 0.5746 0.3828
0.2423 0.0741 0.4380
0.4254 0.8139 0.1172
0.4319 0.5681 0.7500
0.5681 0.4319 0.2500
0.5746 0.1861 0.8828
0.7577 0.9259 0.5620
0.8139 0.4254 0.6172
0.9259 0.7577 0.0620
```

Principal peaks in the range 10° ≤ 2θ ≤ 90°, most intense first:
- 4.440 Å, 20.00°, rel. 100
- 3.611 Å, 24.66°, rel. 83
- 2.723 Å, 32.89°, rel. 52
- 3.903 Å, 22.78°, rel. 49
- 2.369 Å, 37.98°, rel. 45
- 2.856 Å, 31.32°, rel. 32
- 3.322 Å, 26.84°, rel. 31
- 3.001 Å, 29.77°, rel. 30

Entry 8:
This entry pairs a crystal structure of Rb2CdTcO4 with its calculated powder diffraction line list. Radiation: a wavelength of 1.5418 Å. Structure: a DFT-relaxed cell (GGA-PBE, Alexandria).

```
Rb2CdTcO4
1.0
-3.7728 3.7728 3.7072
3.7728 -3.7728 3.7072
3.7728 3.7728 -3.7072
Rb Cd Tc O
2 1 1 4
Direct
0.0000 0.0000 0.0000
0.7500 0.2500 0.5000
0.5000 0.5000 0.0000
0.2500 0.7500 0.5000
0.2129 0.7637 0.7654
0.2363 0.0017 0.4491
0.5525 0.7871 0.5509
0.9983 0.4475 0.2346
```

Principal peaks in the range 10° ≤ 2θ ≤ 90°, most intense first:
- 3.044 Å, 29.34°, rel. 100
- 3.773 Å, 23.58°, rel. 87
- 2.006 Å, 45.19°, rel. 64
- 2.668 Å, 33.59°, rel. 35
- 1.687 Å, 54.38°, rel. 18
- 1.374 Å, 68.24°, rel. 18
- 1.664 Å, 55.21°, rel. 17
- 1.604 Å, 57.47°, rel. 14

Copy entry 8 word for word.
This entry pairs a crystal structure of Rb2CdTcO4 with its calculated powder diffraction line list. Radiation: a wavelength of 1.5418 Å. Structure: a DFT-relaxed cell (GGA-PBE, Alexandria).

```
Rb2CdTcO4
1.0
-3.7728 3.7728 3.7072
3.7728 -3.7728 3.7072
3.7728 3.7728 -3.7072
Rb Cd Tc O
2 1 1 4
Direct
0.0000 0.0000 0.0000
0.7500 0.2500 0.5000
0.5000 0.5000 0.0000
0.2500 0.7500 0.5000
0.2129 0.7637 0.7654
0.2363 0.0017 0.4491
0.5525 0.7871 0.5509
0.9983 0.4475 0.2346
```

Principal peaks in the range 10° ≤ 2θ ≤ 90°, most intense first:
- 3.044 Å, 29.34°, rel. 100
- 3.773 Å, 23.58°, rel. 87
- 2.006 Å, 45.19°, rel. 64
- 2.668 Å, 33.59°, rel. 35
- 1.687 Å, 54.38°, rel. 18
- 1.374 Å, 68.24°, rel. 18
- 1.664 Å, 55.21°, rel. 17
- 1.604 Å, 57.47°, rel. 14